Starting from a GGA-PBE-relaxed structure, the powder diffraction line list of LiMnI3 was simulated for Cu Kα (λ = 1.5418 Å).

Peak list (10 most intense, 2θ from 15° to 90°, sorted by position)
| Position (°2θ) | I/Imax | hkl |
| --- | --- | --- |
| 24.24 | 100 | 0 3 1 |
| 25.69 | 27 | 2 2 0 |
| 26.56 | 86 | 2 1 1 |
| 26.89 | 35 | 0 0 2 |
| 32.84 | 17 | 2 3 1 |
| 34.93 | 29 | 2 4 0 |
| 37.53 | 42 | 2 2 2 |
| 42.99 | 25 | 2 5 1 |
| 45.92 | 22 | 0 3 3 |
| 51.31 | 29 | 4 3 1 |

```
data_LiMnI3
_chemical_formula_sum 'Li4 Mn4 I12'
_cell_length_a 8.1453
_cell_length_b 13.2286
_cell_length_c 6.6322
_cell_angle_alpha 90.00
_cell_angle_beta 90.00
_cell_angle_gamma 90.00
_space_group_name_H-M_alt 'A m a 2'
_space_group_IT_number 40
loop_
_space_group_symop_operation_xyz
'x,y,z'
'-x,-y,z'
'-x+1/2,y,z'
'x+1/2,-y,z'
'x,y+1/2,z+1/2'
'-x,-y+1/2,z+1/2'
'-x+1/2,y+1/2,z+1/2'
'x+1/2,-y+1/2,z+1/2'
loop_
_atom_site_label
_atom_site_type_symbol
_atom_site_fract_x
_atom_site_fract_y
_atom_site_fract_z
Li1 Li 0.0000 0.0000 0.0000
Mn1 Mn 0.2500 0.2105 0.4401
I1 I 0.0043 0.3311 0.2526
I2 I 0.2500 0.0222 0.2774
```